Diffraction record for Tb3PrPb. The powder diffractogram is theoretical, not measured: it uses a crystal structure in Alexandria, relaxed with GGA-PBE and Cu Ka.

Cell and atoms:
abc: 8.7319 8.8524 9.8264
angles: 90.00 121.48 90.00
Space group P2_1/c (No. 14)
Unique sites:
Tb: 0.0920 0.1948 0.0524
Tb: 0.2395 0.5655 0.9644
Tb: 0.4049 0.5968 0.7013
Pr: 0.1930 0.5680 0.2927
Pb: 0.3972 0.2490 0.9546

The 10 most intense peaks (10 to 80 degrees two-theta), by angle:
- 2θ 28.23, rel. 33
- 2θ 29.36, rel. 33
- 2θ 30.03, rel. 84
- 2θ 31.14, rel. 52
- 2θ 31.40, rel. 20
- 2θ 32.48, rel. 60
- 2θ 32.63, rel. 100
- 2θ 33.64, rel. 19
- 2θ 34.39, rel. 19
- 2θ 37.64, rel. 20